No. 1
Diffraction record for Cu2TeAu. The powder diffraction line list is computed, not measured: it uses a GGA-PBE-relaxed structure and Cu Ka.
No peak broadening, texture or thermal motion is included.

Structural model:
Cell lengths 3.616, 3.628, 5.441 Å; angles 90.00, 90.00, 90.00 degrees
Fractional coordinates of all 4 atoms:
Cu 0.000 0.000 0.000
Cu 0.500 0.500 0.296
Te 0.500 0.500 0.810
Au 0.000 0.000 0.469

Main lines, in order of falling intensity (10 to 90 degrees two-theta):
two_theta  I/Imax
35.0  100
41.5  96
29.6  44
67.2  22
67.3  22
50.3  21
48.8  18
50.5  18
74.5  14
16.3  14
32.9  14
74.0  13


No. 2
Diffraction record for ThCuAu11. The powder diffraction line list is computed, not measured: it uses a GGA-PBE-relaxed structure and Cu Ka.
No peak broadening, texture or thermal motion is included.

Structural model:
Cell lengths 7.360, 7.360, 7.147 Å; angles 98.26, 98.26, 135.64 degrees
Fractional coordinates of all 13 atoms:
Th 0.000 0.000 0.000
Cu 0.500 0.500 0.500
Au 0.000 0.000 0.500
Au 0.000 0.500 0.000
Au 0.014 0.348 0.350
Au 0.301 0.509 0.783
Au 0.348 0.014 0.350
Au 0.491 0.699 0.217
Au 0.500 0.000 0.000
Au 0.509 0.301 0.783
Au 0.652 0.986 0.650
Au 0.699 0.491 0.217
Au 0.986 0.652 0.650

Main lines, in order of falling intensity (10 to 90 degrees two-theta):
two_theta  I/Imax
37.4  100
37.9  71
42.0  45
38.1  42
32.7  38
37.6  33
42.7  27
32.2  26
38.4  23
32.5  23
67.4  21
42.1  21


No. 3
Diffraction record for Th4CuAu3. The powder diffraction line list is computed, not measured: it uses a GGA-PBE-relaxed structure and Cu Ka.
No peak broadening, texture or thermal motion is included.

Structural model:
Cell lengths 3.838, 4.485, 11.884 Å; angles 90.00, 90.00, 90.00 degrees
Fractional coordinates of all 8 atoms:
Th 0.000 0.000 0.000
Th 0.000 0.500 0.294
Th 0.500 0.000 0.490
Th 0.500 0.500 0.800
Cu 0.500 0.000 0.220
Au 0.000 0.000 0.723
Au 0.000 0.500 0.569
Au 0.500 0.500 0.082

Main lines, in order of falling intensity (10 to 90 degrees two-theta):
two_theta  I/Imax
31.6  100
38.3  49
36.3  46
32.5  43
40.2  30
30.1  23
52.6  23
61.1  21
47.4  19
74.3  18
59.5  17
63.8  16


No. 4
Diffraction record for Th2CuAu3. The powder diffraction line list is computed, not measured: it uses a GGA-PBE-relaxed structure and Cu Ka.
No peak broadening, texture or thermal motion is included.

Structural model:
Cell lengths 3.484, 4.687, 8.211 Å; angles 90.00, 90.00, 90.00 degrees
Fractional coordinates of all 6 atoms:
Th 0.000 0.000 0.000
Th 0.000 0.500 0.493
Cu 0.500 0.000 0.324
Au 0.500 0.000 0.646
Au 0.500 0.500 0.176
Au 0.500 0.500 0.834

Main lines, in order of falling intensity (10 to 90 degrees two-theta):
two_theta  I/Imax
33.9  100
38.1  70
33.7  48
38.4  35
52.0  28
66.7  27
51.7  15
66.2  15
66.6  15
52.5  14
66.9  14
66.0  13


No. 5
Diffraction record for Ti2Cu3Au3. The powder diffraction line list is computed, not measured: it uses a GGA-PBE-relaxed structure and Cu Ka.
No peak broadening, texture or thermal motion is included.

Structural model:
Cell lengths 5.017, 5.017, 5.017 Å; angles 95.40, 95.40, 95.40 degrees
Fractional coordinates of all 8 atoms:
Ti 0.206 0.206 0.206
Ti 0.794 0.794 0.794
Cu 0.000 0.302 0.698
Cu 0.302 0.698 0.000
Cu 0.698 0.000 0.302
Au 0.250 0.750 0.500
Au 0.500 0.250 0.750
Au 0.750 0.500 0.250

Main lines, in order of falling intensity (10 to 90 degrees two-theta):
two_theta  I/Imax
42.3  100
38.8  99
24.0  59
43.9  56
42.2  35
17.9  28
36.2  24
64.3  22
62.5  19
34.4  19
71.7  18
67.9  17


No. 6
Diffraction record for Tm2CuAu2. The powder diffraction line list is computed, not measured: it uses a GGA-PBE-relaxed structure and Cu Ka.
No peak broadening, texture or thermal motion is included.

Structural model:
Cell lengths 7.498, 7.498, 7.498 Å; angles 130.04, 70.11, 134.18 degrees
Fractional coordinates of all 10 atoms:
Tm 0.147 0.208 0.354
Tm 0.353 0.708 0.061
Tm 0.647 0.292 0.939
Tm 0.853 0.792 0.646
Cu 0.250 0.750 0.500
Cu 0.750 0.250 0.500
Au 0.120 0.755 0.875
Au 0.380 0.255 0.636
Au 0.620 0.745 0.364
Au 0.880 0.245 0.125

Main lines, in order of falling intensity (10 to 90 degrees two-theta):
two_theta  I/Imax
42.1  100
28.2  96
41.0  95
42.8  95
30.6  91
29.1  88
52.0  63
78.6  29
36.0  27
74.9  23
76.3  21
63.8  17


No. 7
Diffraction record for CuW2Au. The powder diffraction line list is computed, not measured: it uses a GGA-PBE-relaxed structure and Cu Ka.
No peak broadening, texture or thermal motion is included.

Structural model:
Cell lengths 2.705, 4.053, 5.726 Å; angles 90.00, 90.00, 90.00 degrees
Fractional coordinates of all 4 atoms:
Cu 0.000 0.000 0.000
W 0.000 0.000 0.486
W 0.500 0.500 0.244
Au 0.500 0.500 0.764

Main lines, in order of falling intensity (10 to 90 degrees two-theta):
two_theta  I/Imax
38.5  100
40.1  91
46.2  60
66.2  41
79.3  36
44.7  33
82.4  23
78.2  14
27.0  12
82.5  11
86.5  10
65.2  10


No. 8
Diffraction record for YCuAu2. The powder diffraction line list is computed, not measured: it uses a GGA-PBE-relaxed structure and Cu Ka.
No peak broadening, texture or thermal motion is included.

Structural model:
Cell lengths 3.535, 3.535, 6.233 Å; angles 90.00, 90.00, 90.00 degrees
Fractional coordinates of all 4 atoms:
Y 0.000 0.000 0.000
Cu 0.500 0.500 0.707
Au 0.000 0.000 0.527
Au 0.500 0.500 0.266

Main lines, in order of falling intensity (10 to 90 degrees two-theta):
two_theta  I/Imax
38.5  100
35.9  65
66.3  40
14.2  27
51.7  23
29.0  22
71.3  13
87.2  11
38.8  10
88.8  10
82.5  9
76.2  7


No. 9
Diffraction record for Y2CuAu. The powder diffraction line list is computed, not measured: it uses a GGA-PBE-relaxed structure and Cu Ka.
No peak broadening, texture or thermal motion is included.

Structural model:
Cell lengths 5.730, 4.593, 7.474 Å; angles 90.00, 109.77, 90.00 degrees
Fractional coordinates of all 8 atoms:
Y 0.213 0.250 0.429
Y 0.226 0.250 0.929
Y 0.774 0.750 0.071
Y 0.787 0.750 0.571
Cu 0.345 0.750 0.706
Cu 0.655 0.250 0.294
Au 0.339 0.750 0.213
Au 0.661 0.250 0.787

Main lines, in order of falling intensity (10 to 90 degrees two-theta):
two_theta  I/Imax
31.9  100
32.1  97
39.8  95
40.2  91
39.2  79
38.7  78
64.3  54
33.2  48
23.1  47
48.7  42
16.4  39
52.3  26


No. 10
Diffraction record for Zn3CuAu3. The powder diffraction line list is computed, not measured: it uses a GGA-PBE-relaxed structure and Cu Ka.
No peak broadening, texture or thermal motion is included.

Structural model:
Cell lengths 6.230, 6.230, 7.634 Å; angles 93.30, 93.30, 124.95 degrees
Fractional coordinates of all 14 atoms:
Zn 0.021 0.615 0.781
Zn 0.214 0.214 0.518
Zn 0.385 0.979 0.219
Zn 0.615 0.021 0.781
Zn 0.786 0.786 0.482
Zn 0.979 0.385 0.219
Cu 0.421 0.421 0.260
Cu 0.579 0.579 0.740
Au 0.076 0.076 0.828
Au 0.306 0.694 0.500
Au 0.362 0.638 0.000
Au 0.638 0.362 0.000
Au 0.694 0.306 0.500
Au 0.924 0.924 0.172

Main lines, in order of falling intensity (10 to 90 degrees two-theta):
two_theta  I/Imax
28.8  100
38.6  75
40.5  73
38.8  55
27.8  48
45.1  41
31.3  34
48.9  33
38.0  33
78.7  25
46.2  24
40.4  23


No. 11
Diffraction record for Zn4Cu4Au. The powder diffraction line list is computed, not measured: it uses a GGA-PBE-relaxed structure and Cu Ka.
No peak broadening, texture or thermal motion is included.

Structural model:
Cell lengths 5.992, 5.992, 5.992 Å; angles 95.88, 95.88, 142.67 degrees
Fractional coordinates of all 9 atoms:
Zn 0.172 0.172 0.344
Zn 0.172 0.828 0.000
Zn 0.828 0.172 0.000
Zn 0.828 0.828 0.656
Cu 0.158 0.500 0.658
Cu 0.500 0.158 0.658
Cu 0.500 0.842 0.342
Cu 0.842 0.500 0.342
Au 0.500 0.500 0.000

Main lines, in order of falling intensity (10 to 90 degrees two-theta):
two_theta  I/Imax
41.1  100
48.1  31
84.9  22
69.8  19
47.4  17
83.9  12
34.2  12
15.6  11
89.3  10
25.7  9
70.4  9
22.1  6


No. 12
Diffraction record for Zn4Cu15Au. The powder diffraction line list is computed, not measured: it uses a GGA-PBE-relaxed structure and Cu Ka.
No peak broadening, texture or thermal motion is included.

Structural model:
Cell lengths 3.656, 3.656, 18.978 Å; angles 90.00, 90.00, 90.00 degrees
Fractional coordinates of all 20 atoms:
Zn 0.000 0.000 0.099
Zn 0.000 0.000 0.297
Zn 0.000 0.000 0.703
Zn 0.000 0.000 0.901
Cu 0.000 0.500 0.000
Cu 0.000 0.500 0.197
Cu 0.000 0.500 0.394
Cu 0.000 0.500 0.606
Cu 0.000 0.500 0.803
Cu 0.500 0.000 0.000
Cu 0.500 0.000 0.197
Cu 0.500 0.000 0.394
Cu 0.500 0.000 0.606
Cu 0.500 0.000 0.803
Cu 0.500 0.500 0.098
Cu 0.500 0.500 0.296
Cu 0.500 0.500 0.500
Cu 0.500 0.500 0.704
Cu 0.500 0.500 0.902
Au 0.000 0.000 0.500

Main lines, in order of falling intensity (10 to 90 degrees two-theta):
two_theta  I/Imax
42.3  100
49.9  31
88.4  22
71.7  18
47.9  17
85.4  11
73.2  9
24.8  3
28.2  3
37.6  3
26.1  2
39.7  2